[1]
Computed X-ray diffraction stick pattern
Compound: TbCe2Sc12
Radiation: Cu Kα, 1.54184 Å
Structure: a DFT-relaxed cell (PBE, Alexandria)
Kinematic intensities with the Lorentz-polarization factor, no thermal factor.

Most intense lines, 10 to 90 degrees two-theta, by angle:
2θ (°)  I (rel.)
11.51  362
22.87  493
31.50  573
32.04  982
33.21  584
34.04  898
34.36  603
35.50  540
35.92  1000
47.06  368

Structure:
abc: 6.1968 6.1968 23.0605
angles: 90.00 90.00 116.44
Positions (direct):
Tb  0.2500  0.7500  0.9994
Tb  0.7500  0.2500  0.0006
Ce  0.2500  0.7500  0.2723
Ce  0.2500  0.7500  0.7277
Ce  0.7500  0.2500  0.2723
Ce  0.7500  0.2500  0.7277
Sc  0.0003  0.9997  0.4401
Sc  0.9997  0.0003  0.5599
Sc  0.9998  0.4998  0.1316
Sc  0.9998  0.4998  0.4176
Sc  0.0002  0.5002  0.5824
Sc  0.0002  0.5002  0.8684
Sc  0.0008  0.9992  0.0832
Sc  0.2500  0.2500  0.2021
Sc  0.2500  0.2500  0.3317
Sc  0.2500  0.2500  0.6683
Sc  0.2500  0.2500  0.7979
Sc  0.4992  0.5008  0.0832
Sc  0.5002  0.0002  0.1316
Sc  0.5002  0.0002  0.4176
Sc  0.4998  0.9998  0.5824
Sc  0.4998  0.9998  0.8684
Sc  0.4997  0.5003  0.4401
Sc  0.5003  0.4997  0.5599
Sc  0.5008  0.4992  0.9168
Sc  0.7500  0.7500  0.2021
Sc  0.7500  0.7500  0.3317
Sc  0.7500  0.7500  0.6683
Sc  0.7500  0.7500  0.7979
Sc  0.9992  0.0008  0.9168

=====

[2]
Computed X-ray diffraction stick pattern
Compound: ErLu2Cu
Radiation: Cu Kα, 1.54184 Å
Structure: a DFT-relaxed cell (PBE, Alexandria)
Kinematic intensities with the Lorentz-polarization factor, no thermal factor.

Most intense lines, 10 to 90 degrees two-theta, by angle:
2θ (°)  I (rel.)
27.77  201
31.76  1000
33.12  194
38.55  444
50.75  163
51.75  279
59.74  146
62.01  147
65.52  108
84.93  123

Structure:
abc: 9.8519 9.8519 9.8519
angles: 20.66 20.66 20.66
Positions (direct):
Er  0.0000  0.0000  0.0000
Lu  0.2344  0.2344  0.2344
Lu  0.7656  0.7656  0.7656
Cu  0.5000  0.5000  0.5000

=====

[3]
Computed X-ray diffraction stick pattern
Compound: Cs2MnPBr6
Radiation: Cu Kα, 1.54184 Å
Structure: a DFT-relaxed cell (PBE, Alexandria)
Kinematic intensities with the Lorentz-polarization factor, no thermal factor.

Most intense lines, 10 to 90 degrees two-theta, by angle:
2θ (°)  I (rel.)
22.15  186
27.67  1000
29.88  287
33.10  528
45.19  348
47.51  182
51.71  103
55.87  261
57.15  168
86.81  100

Structure:
abc: 8.0657 8.0657 8.0657
angles: 123.34 123.34 84.30
Positions (direct):
Cs  0.2500  0.7500  0.5000
Cs  0.7500  0.2500  0.5000
Mn  0.0000  0.0000  0.0000
P  0.5000  0.5000  0.0000
Br  0.2078  0.2078  0.0000
Br  0.2621  0.2621  0.5242
Br  0.2621  0.7379  0.0000
Br  0.7379  0.2621  0.0000
Br  0.7379  0.7379  0.4758
Br  0.7922  0.7922  0.0000

=====

Repeat the second record exactly.
Computed X-ray diffraction stick pattern
Compound: ErLu2Cu
Radiation: Cu Kα, 1.54184 Å
Structure: a DFT-relaxed cell (PBE, Alexandria)
Kinematic intensities with the Lorentz-polarization factor, no thermal factor.

Most intense lines, 10 to 90 degrees two-theta, by angle:
2θ (°)  I (rel.)
27.77  201
31.76  1000
33.12  194
38.55  444
50.75  163
51.75  279
59.74  146
62.01  147
65.52  108
84.93  123

Structure:
abc: 9.8519 9.8519 9.8519
angles: 20.66 20.66 20.66
Positions (direct):
Er  0.0000  0.0000  0.0000
Lu  0.2344  0.2344  0.2344
Lu  0.7656  0.7656  0.7656
Cu  0.5000  0.5000  0.5000